(1)
Starting from a crystal structure in Alexandria, relaxed with PBE, the PXRD pattern of Th2TlInCo was simulated for λ = 1.5418 Å (Cu Kα).

Most intense lines, 2θ from 10° to 90°, in order of falling intensity:
two_theta  d (Å)  Rel. int.  (hkl)
31.0  2.888  100  1 1 -2
32.5  2.755  45  3 0 -2
27.9  3.193  32  2 0 1
29.6  3.014  22  1 1 1
44.8  2.023  20  1 1 3
31.8  2.811  19  0 0 3
48.0  1.894  18  0 2 0
12.1  7.293  17  1 0 -1
56.5  1.629  17  2 2 1
48.9  1.862  16  4 1 -2
39.4  2.285  15  3 1 -1
33.6  2.671  15  3 0 0

Cell and atoms:
a = 8.610 Å, b = 3.788 Å, c = 9.061 Å
α = 90.00°, β = 111.48°, γ = 90.00°
Space group P2_1/m (No. 11)
One atom of each set of equivalent atoms:
Th: 0.119 0.250 0.386 x2
Th: 0.199 0.250 0.011 x2
Tl: 0.472 0.750 0.347 x2
In: 0.300 0.750 0.748 x2
Co: 0.146 0.750 0.198 x2

=====

(2)
Starting from a crystal structure in Alexandria, relaxed with PBE, the PXRD pattern of Ti6In3Co was simulated for λ = 1.5418 Å (Cu Kα).

Most intense lines, 2θ from 10° to 90°, in order of falling intensity:
two_theta  d (Å)  Rel. int.  (hkl)
23.7  3.753  100  1 1 1
37.0  2.427  77  2 0 2
41.2  2.189  75  2 2 -2
35.8  2.509  74  4 0 -1
40.2  2.243  50  2 2 1
31.0  2.881  43  3 1 -1
36.0  2.492  43  2 2 -1
41.4  2.179  41  1 1 -3
38.9  2.316  39  2 0 -3
17.6  5.036  35  1 1 0
30.2  2.960  34  0 2 0
33.1  2.709  28  0 2 1

Cell and atoms:
a = 10.053 Å, b = 5.920 Å, c = 7.050 Å
α = 90.00°, β = 107.63°, γ = 90.00°
Space group C2/m (No. 12)
One atom of each set of equivalent atoms:
Ti: 0.116 0.238 0.376 x8
Ti: 0.186 0.500 0.806 x4
In: 0.000 0.000 0.000 x2
In: 0.186 0.000 0.756 x4
Co: 0.000 0.500 0.500 x2

=====

(3)
Starting from a crystal structure in Alexandria, relaxed with PBE, the PXRD pattern of Ti8InCo2 was simulated for λ = 1.5418 Å (Cu Kα).

Most intense lines, 2θ from 10° to 90°, in order of falling intensity:
two_theta  d (Å)  Rel. int.  (hkl)
42.7  2.117  100  2 0 2
26.1  3.417  64  1 1 1
44.3  2.047  46  2 2 0
21.0  4.234  27  1 0 1
80.4  1.195  25  4 2 2
52.1  1.756  18  3 1 1
32.7  2.735  14  1 0 2
64.4  1.447  13  4 0 0
77.1  1.237  13  2 2 4
15.3  5.789  12  1 0 0
34.6  2.589  12  2 1 0
49.4  1.847  11  1 1 3

Cell and atoms:
a = 5.789 Å, b = 5.789 Å, c = 6.207 Å
α = 90.00°, β = 90.00°, γ = 90.00°
Space group P4/mmm (No. 123)
One atom of each set of equivalent atoms:
Ti: 0.236 0.236 0.228 x8
In: 0.500 0.500 0.500 x1
Co: 0.000 0.500 0.000 x2

=====

(4)
Starting from a crystal structure in Alexandria, relaxed with PBE, the PXRD pattern of Ti3In3Co was simulated for λ = 1.5418 Å (Cu Kα).

Most intense lines, 2θ from 10° to 90°, in order of falling intensity:
two_theta  d (Å)  Rel. int.  (hkl)
38.4  2.345  100  2 1 1
32.4  2.759  93  2 0 1
40.5  2.225  53  2 2 0
23.1  3.854  28  2 0 0
62.9  1.477  28  2 2 2
68.7  1.367  25  4 2 1
45.9  1.976  25  0 0 2
25.3  3.517  14  1 0 1
48.4  1.880  14  3 1 1
47.2  1.927  14  4 0 0
64.9  1.436  11  5 0 1
42.3  2.138  11  3 1 0

Cell and atoms:
a = 8.9002 Å, b = 8.9002 Å, c = 3.9519 Å
α = 90.00°, β = 90.00°, γ = 120.00°
Space group P6_3/mmc (No. 194)
One atom of each set of equivalent atoms:
Ti: 0.1233 0.5616 0.2500 x6
In: 0.1600 0.3201 0.7500 x6
Co: 0.3333 0.6667 0.7500 x2